(1)
Rb8Zr6BeBr20: computed powder diffractogram (a wavelength of 1.5418 Å), based on a GGA-PBE-relaxed structure.
Neutral-atom scattering factors, no anomalous dispersion.

Atomic structure:
a b c (Å): 17.0487 17.0487 17.0487
angles (deg): 90.00 90.00 90.00
Space group Fm-3m (No. 225)
Inequivalent atoms, fractional coordinates:
Rb (0.1393, 0.1393, 0.1393) x32
Zr (0.0000, 0.0000, 0.3593) x24
Be (0.0000, 0.0000, 0.5000) x4
Br (0.0000, 0.0000, 0.1878) x24
Br (0.0000, 0.1603, 0.3397) x48
Br (0.2500, 0.2500, 0.2500) x8

Principal peaks in the range 2θ = 10–80°, by angle:
(2 0 0), 8.524 Å, 2θ 10.4, intensity 27
(2 2 2), 4.922 Å, 2θ 18.0, intensity 20
(3 3 3), 3.281 Å, 2θ 27.2, intensity 79
(5 3 1), 2.882 Å, 2θ 31.0, intensity 41
(6 0 0), 2.841 Å, 2θ 31.5, intensity 100
(6 2 0), 2.696 Å, 2θ 33.2, intensity 21
(5 5 3), 2.220 Å, 2θ 40.6, intensity 23
(8 0 0), 2.131 Å, 2θ 42.4, intensity 20
(6 6 0), 2.009 Å, 2θ 45.1, intensity 61
(9 3 3), 1.713 Å, 2θ 53.5, intensity 21

---

(2)
Cs3GeAsSe5: computed powder diffractogram (a wavelength of 1.5418 Å), based on a GGA-PBE-relaxed structure.
Neutral-atom scattering factors, no anomalous dispersion.

Atomic structure:
a b c (Å): 7.9355 9.8460 20.2566
angles (deg): 90.00 102.91 90.00
Space group P2_1/c (No. 14)
Inequivalent atoms, fractional coordinates:
Cs (0.0858, 0.1992, 0.4581) x4
Cs (0.1579, 0.0604, 0.2385) x4
Cs (0.3833, 0.7106, 0.4143) x4
Ge (0.4252, 0.7092, 0.6294) x4
As (0.3290, 0.0416, 0.7004) x4
Se (0.0607, 0.1161, 0.6366) x4
Se (0.2497, 0.5402, 0.5694) x4
Se (0.2892, 0.1139, 0.8155) x4
Se (0.2969, 0.7060, 0.2224) x4
Se (0.4816, 0.5960, 0.0723) x4

Principal peaks in the range 2θ = 10–80°, by angle:
(1 1 -4), 4.212 Å, 2θ 21.1, intensity 63
(1 2 2), 3.674 Å, 2θ 24.2, intensity 42
(1 1 -5), 3.615 Å, 2θ 24.6, intensity 40
(2 1 0), 3.600 Å, 2θ 24.7, intensity 100
(2 1 1), 3.418 Å, 2θ 26.1, intensity 81
(1 1 -6), 3.134 Å, 2θ 28.5, intensity 46
(0 2 5), 3.081 Å, 2θ 29.0, intensity 66
(1 3 -1), 3.024 Å, 2θ 29.5, intensity 79
(1 3 -2), 2.963 Å, 2θ 30.2, intensity 90
(3 4 -1), 1.798 Å, 2θ 50.8, intensity 42

---

Q: Which formula does entry 2 have?
A: Cs3GeAsSe5